Diffraction record for KRbCl2. The powder diffractogram is theoretical, not measured: it uses a DFT-relaxed cell (PBE, the Materials Project) and Cu Kα (weighted mean of Kα1 and Kα2).

Structural model:
```
KRbCl2
1.0
4.625 0.000 0.000
-2.312 4.005 0.000
0.000 0.000 22.737
K Rb Cl
3 3 6
Cartesian
0.000 0.000 0.000
0.000 2.670 15.158
2.312 1.335 7.579
0.000 0.000 11.369
0.000 2.670 3.790
2.312 1.335 18.948
0.000 0.000 5.774
0.000 0.000 16.963
0.000 2.670 9.384
0.000 2.670 20.932
2.312 1.335 1.805
2.312 1.335 13.353
```

Peak list (10 most intense, 2θ from 15° to 90°, by angle)
- hkl 1 0 1, 2θ 22.54, d = 3.945 Å, rel. 8
- hkl 0 0 6, 2θ 23.53, d = 3.781 Å, rel. 13
- hkl 1 0 4, 2θ 27.24, d = 3.274 Å, rel. 100
- hkl 1 1 0, 2θ 38.90, d = 2.315 Å, rel. 71
- hkl 0 0 12, 2θ 48.02, d = 1.895 Å, rel. 6
- hkl 0 2 4, 2θ 48.18, d = 1.889 Å, rel. 18
- hkl 2 0 8, 2θ 56.19, d = 1.637 Å, rel. 11
- hkl 1 1 12, 2θ 63.47, d = 1.466 Å, rel. 15
- hkl 2 1 4, 2θ 63.60, d = 1.463 Å, rel. 15
- hkl 3 0 0, 2θ 70.50, d = 1.336 Å, rel. 16